Theoretical PXRD pattern of Ti3H2Pb for Cu Ka, from a PBE-relaxed structure.
Kinematic intensities with the Lorentz-polarization factor, no thermal factor.

Structural model:
```
Ti3H2Pb
1.0
5.622 0.000 0.000
0.000 3.030 0.000
-1.266 0.000 9.673
Ti H Pb
6 4 2
Cartesian
-0.221 0.757 3.616
0.319 0.757 8.555
1.402 0.757 5.979
2.955 2.272 3.694
4.038 2.272 1.118
4.578 2.272 6.057
0.608 2.272 7.103
1.754 0.757 4.070
2.603 2.272 5.604
3.749 0.757 2.571
1.221 2.272 1.400
3.135 0.757 8.274
```

Top 6 peaks for 10° ≤ 2θ ≤ 90°, in order of falling intensity:
2θ = 34.95°, rel. 1000, (0 1 2); 2θ = 30.93°, rel. 802, (0 1 1); 2θ = 37.18°, rel. 701, (0 0 4); 2θ = 22.72°, rel. 620, (1 0 -2); 2θ = 34.38°, rel. 550, (1 1 -1); 2θ = 17.30°, rel. 520, (1 0 -1)

Theoretical PXRD pattern of Nd12Tm5Pu for Cu Ka, from a PBE-relaxed structure.
Kinematic intensities with the Lorentz-polarization factor, no thermal factor.

Structural model:
```
Nd12Tm5Pu
1.0
10.827 0.000 0.000
0.000 5.128 0.000
-0.077 0.000 10.838
Nd Tm Pu
12 5 1
Cartesian
0.001 0.000 1.828
1.724 2.564 7.197
1.856 2.564 0.031
3.547 0.000 5.406
3.591 0.000 9.078
5.356 2.564 3.561
5.394 2.564 7.277
7.159 0.000 1.760
7.203 0.000 5.432
8.894 2.564 10.807
9.026 2.564 3.641
10.749 0.000 9.010
-0.038 0.000 5.419
1.772 2.564 3.620
3.604 0.000 1.798
7.146 0.000 9.041
8.979 2.564 7.218
5.414 2.564 0.000
```

Top 6 peaks for 10° ≤ 2θ ≤ 90°, in order of falling intensity:
2θ = 30.27°, rel. 1000, (3 1 0); 2θ = 35.01°, rel. 341, (0 2 0); 2θ = 59.88°, rel. 290, (3 3 0); 2θ = 50.55°, rel. 240, (6 0 0); 2θ = 35.28°, rel. 166, (3 0 3); 2θ = 60.24°, rel. 140, (6 1 3)